For TmLuCo, a GGA-PBE-relaxed structure gives the theoretical powder diffraction line list in this record (Cu Kα).

Peak list (10 most intense, 2θ = 15–90°, low angle first)
Position (°2θ)  Rel. int.  (hkl)
26.91  58  1 1 0
33.12  100  1 0 2
38.43  49  2 0 0
51.62  58  2 1 2
55.47  24  2 2 0
62.71  23  3 1 0
66.15  14  3 0 2
69.50  17  2 0 4
79.18  17  3 2 2
82.33  15  4 0 0

Crystal structure
Lattice parameters (Å, degrees): 4.6849 4.6849 6.6258 90.00 90.00 90.00
Element x y z (fractional)
Tm 0.0000 0.0000 0.2500
Tm 0.0000 0.0000 0.7500
Lu 0.5000 0.5000 0.0000
Lu 0.5000 0.5000 0.5000
Co 0.0000 0.5000 0.0000
Co 0.5000 0.0000 0.5000